Theoretical powder diffractogram of Li2CdMoF8 for Cu Kα, 1.54184 Å, from the GGA+U geometry in Alexandria.
No peak broadening, texture or thermal motion is included.

Cell lengths 4.774, 4.779, 6.937 Å; angles 90.05, 90.88, 92.09 degrees
Space group P-1 (No. 2)
Unique sites:
Li 0.001 0.008 0.285 x2
Cd 0.500 0.500 0.500 x1
Mo 0.500 0.500 0.000 x1
F 0.188 0.811 0.499 x2
F 0.215 0.784 0.996 x2
F 0.296 0.296 0.223 x2
F 0.297 0.296 0.785 x2

Peak list (10 most intense, 10° ≤ 2θ ≤ 90°, in order of falling intensity)
hkl, 2θ (°), I_rel
0 1 0, 18.59, 1000
1 -1 0, 25.91, 316
1 1 0, 26.89, 283
1 1 2, 37.75, 271
0 0 2, 25.69, 249
1 1 -2, 37.30, 248
2 -1 0, 41.69, 243
0 1 -2, 31.89, 203
1 0 -2, 31.66, 109
1 0 2, 32.14, 92